# 1
The following is a calculated powder XRD pattern of Nd7Sm12Pu. It was derived from a PBE-relaxed structure, using Cu Kα (weighted mean of Kα1 and Kα2).
Lines closer than 0.1° are merged.

Cell and atoms:
```
data_Nd7Sm12Pu
_symmetry_space_group_name_H-M 'P 1'
_symmetry_Int_Tables_number 1
_cell_length_a 10.0029
_cell_length_b 10.0029
_cell_length_c 10.0029
_cell_angle_alpha 109.47
_cell_angle_beta 109.47
_cell_angle_gamma 109.47
loop_
_symmetry_equiv_pos_as_xyz
'x,y,z'
loop_
_atom_site_label
_atom_site_type_symbol
_atom_site_fract_x
_atom_site_fract_y
_atom_site_fract_z
Nd1 Nd 0.0000 0.0000 0.5000
Nd2 Nd 0.0000 0.5000 0.0000
Nd3 Nd 0.0000 0.5000 0.5000
Nd4 Nd 0.5000 0.0000 0.0000
Nd5 Nd 0.5000 0.0000 0.5000
Nd6 Nd 0.5000 0.5000 0.0000
Nd7 Nd 0.5000 0.5000 0.5000
Sm1 Sm 0.0000 0.2463 0.7537
Sm2 Sm 0.0000 0.7537 0.2463
Sm3 Sm 0.2463 0.0000 0.7537
Sm4 Sm 0.2463 0.2463 0.4925
Sm5 Sm 0.2463 0.4925 0.2463
Sm6 Sm 0.2463 0.7537 0.0000
Sm7 Sm 0.4925 0.2463 0.2463
Sm8 Sm 0.5075 0.7537 0.7537
Sm9 Sm 0.7537 0.0000 0.2463
Sm10 Sm 0.7537 0.2463 0.0000
Sm11 Sm 0.7537 0.5075 0.7537
Sm12 Sm 0.7537 0.7537 0.5075
Pu1 Pu 0.0000 0.0000 0.0000
```

Largest 10 diffraction maxima, in order of rising 2θ, 2θ from 10° to 90°:
2θ 15.3, rel. 15.5
2θ 21.8, rel. 21.8
2θ 26.7, rel. 74.6
2θ 31.0, rel. 100.0
2θ 44.4, rel. 74.5
2θ 52.6, rel. 34.7
2θ 55.1, rel. 26.2
2θ 71.2, rel. 13.9
2θ 73.3, rel. 33.3
2θ 81.7, rel. 25.0



# 2
The following is a calculated powder XRD pattern of Nd8Sm5Pu. It was derived from a PBE-relaxed structure, using Cu Kα (weighted mean of Kα1 and Kα2).
Lines closer than 0.1° are merged.

Cell and atoms:
```
data_Nd8Sm5Pu
_symmetry_space_group_name_H-M 'P 1'
_symmetry_Int_Tables_number 1
_cell_length_a 8.6640
_cell_length_b 8.6640
_cell_length_c 9.6046
_cell_angle_alpha 122.89
_cell_angle_beta 122.89
_cell_angle_gamma 61.41
loop_
_symmetry_equiv_pos_as_xyz
'x,y,z'
loop_
_atom_site_label
_atom_site_type_symbol
_atom_site_fract_x
_atom_site_fract_y
_atom_site_fract_z
Nd1 Nd 0.0384 0.0384 0.2013
Nd2 Nd 0.1327 0.4749 0.5401
Nd3 Nd 0.4248 0.0759 0.1670
Nd4 Nd 0.4413 0.2253 0.8683
Nd5 Nd 0.5251 0.8673 0.4599
Nd6 Nd 0.7747 0.5587 0.1317
Nd7 Nd 0.9241 0.5752 0.8330
Nd8 Nd 0.9616 0.9616 0.7987
Sm1 Sm 0.2288 0.5696 0.2558
Sm2 Sm 0.4304 0.7712 0.7442
Sm3 Sm 0.6054 0.3108 0.6380
Sm4 Sm 0.6892 0.3946 0.3620
Sm5 Sm 0.9793 0.0207 0.5000
Pu1 Pu 0.3263 0.6737 0.0000
```

Largest 10 diffraction maxima, in order of rising 2θ, 2θ from 10° to 90°:
2θ 25.2, rel. 14.8
2θ 28.8, rel. 28.5
2θ 29.7, rel. 39.9
2θ 31.3, rel. 57.0
2θ 31.7, rel. 100.0
2θ 32.1, rel. 46.9
2θ 33.3, rel. 21.3
2θ 33.8, rel. 44.9
2θ 35.4, rel. 26.9
2θ 50.7, rel. 17.2



# 3
The following is a calculated powder XRD pattern of NdPuTc. It was derived from a PBE-relaxed structure, using Cu Kα (weighted mean of Kα1 and Kα2).
Lines closer than 0.1° are merged.

Cell and atoms:
```
data_NdPuTc
_symmetry_space_group_name_H-M 'P 1'
_symmetry_Int_Tables_number 1
_cell_length_a 6.2056
_cell_length_b 6.2056
_cell_length_c 6.2056
_cell_angle_alpha 146.80
_cell_angle_beta 146.80
_cell_angle_gamma 47.66
loop_
_symmetry_equiv_pos_as_xyz
'x,y,z'
loop_
_atom_site_label
_atom_site_type_symbol
_atom_site_fract_x
_atom_site_fract_y
_atom_site_fract_z
Nd1 Nd 0.0000 0.0000 0.0000
Pu1 Pu 0.2878 0.2878 0.0000
Tc1 Tc 0.6930 0.6930 0.0000
```

Largest 10 diffraction maxima, in order of rising 2θ, 2θ from 10° to 90°:
2θ 15.6, rel. 21.3
2θ 26.3, rel. 24.4
2θ 31.5, rel. 18.4
2θ 34.7, rel. 100.0
2θ 35.8, rel. 63.5
2θ 48.4, rel. 22.7
2θ 51.5, rel. 22.7
2θ 63.0, rel. 21.2
2θ 63.6, rel. 35.0
2θ 85.7, rel. 18.6



# 4
The following is a calculated powder XRD pattern of NdPuTe6. It was derived from a PBE-relaxed structure, using Cu Kα (weighted mean of Kα1 and Kα2).
Lines closer than 0.1° are merged.

Cell and atoms:
```
data_NdPuTe6
_symmetry_space_group_name_H-M 'P 1'
_symmetry_Int_Tables_number 1
_cell_length_a 4.3825
_cell_length_b 13.6984
_cell_length_c 13.6984
_cell_angle_alpha 18.40
_cell_angle_beta 90.00
_cell_angle_gamma 90.00
loop_
_symmetry_equiv_pos_as_xyz
'x,y,z'
loop_
_atom_site_label
_atom_site_type_symbol
_atom_site_fract_x
_atom_site_fract_y
_atom_site_fract_z
Nd1 Nd 0.0000 0.0000 0.0000
Pu1 Pu 0.5000 0.6565 0.6565
Te1 Te 0.0000 0.1240 0.1240
Te2 Te 0.0000 0.4057 0.4057
Te3 Te 0.0000 0.7472 0.7472
Te4 Te 0.5000 0.2472 0.2472
Te5 Te 0.5000 0.5363 0.5363
Te6 Te 0.5000 0.9056 0.9056
```

Largest 10 diffraction maxima, in order of rising 2θ, 2θ from 10° to 90°:
2θ 13.1, rel. 23.8
2θ 26.4, rel. 40.6
2θ 29.0, rel. 26.2
2θ 30.5, rel. 100.0
2θ 33.3, rel. 48.6
2θ 37.2, rel. 45.0
2θ 41.2, rel. 56.2
2θ 49.6, rel. 28.9
2θ 59.7, rel. 18.9
2θ 68.5, rel. 19.2



# 5
The following is a calculated powder XRD pattern of Nd6PuTe8. It was derived from a PBE-relaxed structure, using Cu Kα (weighted mean of Kα1 and Kα2).
Lines closer than 0.1° are merged.

Cell and atoms:
```
data_Nd6PuTe8
_symmetry_space_group_name_H-M 'P 1'
_symmetry_Int_Tables_number 1
_cell_length_a 8.9682
_cell_length_b 8.9682
_cell_length_c 8.9682
_cell_angle_alpha 60.00
_cell_angle_beta 60.00
_cell_angle_gamma 60.00
loop_
_symmetry_equiv_pos_as_xyz
'x,y,z'
loop_
_atom_site_label
_atom_site_type_symbol
_atom_site_fract_x
_atom_site_fract_y
_atom_site_fract_z
Nd1 Nd 0.0000 0.0000 0.5000
Nd2 Nd 0.0000 0.5000 0.0000
Nd3 Nd 0.0000 0.5000 0.5000
Nd4 Nd 0.5000 0.0000 0.0000
Nd5 Nd 0.5000 0.0000 0.5000
Nd6 Nd 0.5000 0.5000 0.0000
Pu1 Pu 0.0000 0.0000 0.0000
Te1 Te 0.2500 0.2500 0.2500
Te2 Te 0.2528 0.2528 0.7472
Te3 Te 0.2528 0.7472 0.2528
Te4 Te 0.2528 0.7472 0.7472
Te5 Te 0.7472 0.2528 0.2528
Te6 Te 0.7472 0.2528 0.7472
Te7 Te 0.7472 0.7472 0.2528
Te8 Te 0.7500 0.7500 0.7500
```

Largest 10 diffraction maxima, in order of rising 2θ, 2θ from 10° to 90°:
2θ 12.1, rel. 10.0
2θ 23.3, rel. 8.1
2θ 28.1, rel. 100.0
2θ 30.7, rel. 4.7
2θ 40.2, rel. 76.6
2θ 49.8, rel. 27.5
2θ 58.2, rel. 12.9
2θ 65.9, rel. 35.5
2θ 73.1, rel. 26.1
2θ 86.9, rel. 8.5



# 6
The following is a calculated powder XRD pattern of Nd5PuTe8. It was derived from a PBE-relaxed structure, using Cu Kα (weighted mean of Kα1 and Kα2).
Lines closer than 0.1° are merged.

Cell and atoms:
```
data_Nd5PuTe8
_symmetry_space_group_name_H-M 'P 1'
_symmetry_Int_Tables_number 1
_cell_length_a 8.2497
_cell_length_b 8.2497
_cell_length_c 8.2497
_cell_angle_alpha 109.43
_cell_angle_beta 109.43
_cell_angle_gamma 109.56
loop_
_symmetry_equiv_pos_as_xyz
'x,y,z'
loop_
_atom_site_label
_atom_site_type_symbol
_atom_site_fract_x
_atom_site_fract_y
_atom_site_fract_z
Nd1 Nd 0.0000 0.0000 0.0000
Nd2 Nd 0.2529 0.1276 0.6256
Nd3 Nd 0.3726 0.7471 0.8747
Nd4 Nd 0.5021 0.6274 0.3744
Nd5 Nd 0.8724 0.4979 0.1253
Pu1 Pu 0.7500 0.2500 0.5000
Te1 Te 0.1220 0.3726 0.8991
Te2 Te 0.1265 0.3761 0.4014
Te3 Te 0.2750 0.8735 0.2496
Te4 Te 0.4735 0.2229 0.1009
Te5 Te 0.6239 0.0253 0.7504
Te6 Te 0.6274 0.5265 0.7493
Te7 Te 0.7771 0.8780 0.2507
Te8 Te 0.9747 0.7250 0.5986
```

Largest 10 diffraction maxima, in order of rising 2θ, 2θ from 10° to 90°:
2θ 22.9, rel. 11.2
2θ 29.7, rel. 100.0
2θ 35.3, rel. 70.7
2θ 42.4, rel. 18.2
2θ 44.6, rel. 12.7
2θ 46.7, rel. 14.5
2θ 48.7, rel. 17.7
2θ 59.9, rel. 29.5
2θ 63.3, rel. 15.2
2θ 73.0, rel. 14.6



# 7
The following is a calculated powder XRD pattern of Nd2TmPu3Te6. It was derived from a PBE-relaxed structure, using Cu Kα (weighted mean of Kα1 and Kα2).
Lines closer than 0.1° are merged.

Cell and atoms:
```
data_Nd2TmPu3Te6
_symmetry_space_group_name_H-M 'P 1'
_symmetry_Int_Tables_number 1
_cell_length_a 9.9360
_cell_length_b 9.9360
_cell_length_c 8.9070
_cell_angle_alpha 103.52
_cell_angle_beta 103.52
_cell_angle_gamma 25.65
loop_
_symmetry_equiv_pos_as_xyz
'x,y,z'
loop_
_atom_site_label
_atom_site_type_symbol
_atom_site_fract_x
_atom_site_fract_y
_atom_site_fract_z
Nd1 Nd 0.1677 0.1677 0.3374
Nd2 Nd 0.8323 0.8323 0.6626
Tm1 Tm 0.5000 0.5000 0.0000
Pu1 Pu 0.1698 0.1698 0.8356
Pu2 Pu 0.5000 0.5000 0.5000
Pu3 Pu 0.8302 0.8302 0.1644
Te1 Te 0.0022 0.0022 0.7587
Te2 Te 0.3352 0.3352 0.4111
Te3 Te 0.3372 0.3372 0.9210
Te4 Te 0.6628 0.6628 0.0790
Te5 Te 0.6648 0.6648 0.5889
Te6 Te 0.9978 0.9978 0.2413
```

Largest 10 diffraction maxima, in order of rising 2θ, 2θ from 10° to 90°:
2θ 28.5, rel. 100.0
2θ 40.5, rel. 13.0
2θ 40.6, rel. 25.9
2θ 40.9, rel. 37.9
2θ 50.0, rel. 7.1
2θ 50.6, rel. 20.5
2θ 58.9, rel. 12.9
2θ 66.5, rel. 11.9
2θ 67.0, rel. 17.5
2θ 74.2, rel. 8.7



# 8
The following is a calculated powder XRD pattern of Nd2Y3PuTe6. It was derived from a PBE-relaxed structure, using Cu Kα (weighted mean of Kα1 and Kα2).
Lines closer than 0.1° are merged.

Cell and atoms:
```
data_Nd2Y3PuTe6
_symmetry_space_group_name_H-M 'P 1'
_symmetry_Int_Tables_number 1
_cell_length_a 9.8993
_cell_length_b 9.8993
_cell_length_c 8.8948
_cell_angle_alpha 103.39
_cell_angle_beta 103.39
_cell_angle_gamma 25.65
loop_
_symmetry_equiv_pos_as_xyz
'x,y,z'
loop_
_atom_site_label
_atom_site_type_symbol
_atom_site_fract_x
_atom_site_fract_y
_atom_site_fract_z
Nd1 Nd 0.1666 0.1666 0.3333
Nd2 Nd 0.8334 0.8334 0.6667
Y1 Y 0.1685 0.1685 0.8358
Y2 Y 0.5000 0.5000 0.5000
Y3 Y 0.8315 0.8315 0.1642
Pu1 Pu 0.5000 0.5000 0.0000
Te1 Te 0.0030 0.0030 0.7485
Te2 Te 0.3331 0.3331 0.9232
Te3 Te 0.3359 0.3359 0.4099
Te4 Te 0.6641 0.6641 0.5901
Te5 Te 0.6669 0.6669 0.0768
Te6 Te 0.9970 0.9970 0.2515
```

Largest 10 diffraction maxima, in order of rising 2θ, 2θ from 10° to 90°:
2θ 28.6, rel. 100.0
2θ 40.6, rel. 12.8
2θ 40.7, rel. 25.3
2θ 40.9, rel. 25.1
2θ 41.1, rel. 12.5
2θ 50.2, rel. 6.8
2θ 50.8, rel. 13.4
2θ 59.1, rel. 12.6
2θ 66.8, rel. 11.4
2θ 67.1, rel. 11.5



# 9
The following is a calculated powder XRD pattern of NdY3Pu2Te6. It was derived from a PBE-relaxed structure, using Cu Kα (weighted mean of Kα1 and Kα2).
Lines closer than 0.1° are merged.

Cell and atoms:
```
data_NdY3Pu2Te6
_symmetry_space_group_name_H-M 'P 1'
_symmetry_Int_Tables_number 1
_cell_length_a 9.8764
_cell_length_b 9.8764
_cell_length_c 8.8582
_cell_angle_alpha 103.34
_cell_angle_beta 103.34
_cell_angle_gamma 25.68
loop_
_symmetry_equiv_pos_as_xyz
'x,y,z'
loop_
_atom_site_label
_atom_site_type_symbol
_atom_site_fract_x
_atom_site_fract_y
_atom_site_fract_z
Nd1 Nd 0.0000 0.0000 0.0000
Y1 Y 0.0000 0.0000 0.5000
Y2 Y 0.3351 0.3351 0.1661
Y3 Y 0.6649 0.6649 0.8339
Pu1 Pu 0.3338 0.3338 0.6671
Pu2 Pu 0.6662 0.6662 0.3329
Te1 Te 0.1659 0.1659 0.5861
Te2 Te 0.1697 0.1697 0.0824
Te3 Te 0.4995 0.4995 0.2572
Te4 Te 0.5005 0.5005 0.7428
Te5 Te 0.8303 0.8303 0.9176
Te6 Te 0.8341 0.8341 0.4139
```

Largest 10 diffraction maxima, in order of rising 2θ, 2θ from 10° to 90°:
2θ 12.2, rel. 7.7
2θ 23.7, rel. 7.0
2θ 28.6, rel. 100.0
2θ 40.8, rel. 38.3
2θ 41.1, rel. 37.8
2θ 50.9, rel. 13.5
2θ 59.3, rel. 8.5
2θ 67.0, rel. 11.6
2θ 67.3, rel. 11.6
2θ 74.7, rel. 10.7



# 10
The following is a calculated powder XRD pattern of NdPuTh. It was derived from a PBE-relaxed structure, using Cu Kα (weighted mean of Kα1 and Kα2).
Lines closer than 0.1° are merged.

Cell and atoms:
```
data_NdPuTh
_symmetry_space_group_name_H-M 'P 1'
_symmetry_Int_Tables_number 1
_cell_length_a 10.0640
_cell_length_b 10.0640
_cell_length_c 3.5207
_cell_angle_alpha 90.00
_cell_angle_beta 90.00
_cell_angle_gamma 150.59
loop_
_symmetry_equiv_pos_as_xyz
'x,y,z'
loop_
_atom_site_label
_atom_site_type_symbol
_atom_site_fract_x
_atom_site_fract_y
_atom_site_fract_z
Nd1 Nd 0.2011 0.7989 0.7500
Nd2 Nd 0.7989 0.2011 0.2500
Pu1 Pu 0.0379 0.9621 0.7500
Pu2 Pu 0.9621 0.0379 0.2500
Th1 Th 0.4135 0.5865 0.7500
Th2 Th 0.5865 0.4135 0.2500
```

Largest 10 diffraction maxima, in order of rising 2θ, 2θ from 10° to 90°:
2θ 28.8, rel. 100.0
2θ 31.2, rel. 82.5
2θ 33.9, rel. 58.2
2θ 35.1, rel. 57.4
2θ 37.7, rel. 41.4
2θ 38.7, rel. 48.4
2θ 51.9, rel. 27.0
2θ 52.5, rel. 32.6
2θ 60.5, rel. 38.3
2θ 64.3, rel. 20.6



# 11
The following is a calculated powder XRD pattern of Nd2PuTl4. It was derived from a PBE-relaxed structure, using Cu Kα (weighted mean of Kα1 and Kα2).
Lines closer than 0.1° are merged.

Cell and atoms:
```
data_Nd2PuTl4
_symmetry_space_group_name_H-M 'P 1'
_symmetry_Int_Tables_number 1
_cell_length_a 5.3795
_cell_length_b 5.3795
_cell_length_c 7.6368
_cell_angle_alpha 90.00
_cell_angle_beta 90.00
_cell_angle_gamma 90.00
loop_
_symmetry_equiv_pos_as_xyz
'x,y,z'
loop_
_atom_site_label
_atom_site_type_symbol
_atom_site_fract_x
_atom_site_fract_y
_atom_site_fract_z
Nd1 Nd 0.0000 0.0000 0.0000
Nd2 Nd 0.5000 0.5000 0.5000
Pu1 Pu 0.0000 0.0000 0.5000
Tl1 Tl 0.0000 0.5000 0.2329
Tl2 Tl 0.0000 0.5000 0.7671
Tl3 Tl 0.5000 0.0000 0.2329
Tl4 Tl 0.5000 0.0000 0.7671
```

Largest 10 diffraction maxima, in order of rising 2θ, 2θ from 10° to 90°:
2θ 16.5, rel. 5.7
2θ 23.4, rel. 5.1
2θ 26.2, rel. 7.3
2θ 33.3, rel. 100.0
2θ 47.6, rel. 5.7
2θ 47.8, rel. 12.5
2θ 59.4, rel. 11.8
2θ 59.5, rel. 25.6
2θ 69.8, rel. 7.3
2θ 79.7, rel. 11.3



# 12
The following is a calculated powder XRD pattern of NdTm6Pu. It was derived from a PBE-relaxed structure, using Cu Kα (weighted mean of Kα1 and Kα2).
Lines closer than 0.1° are merged.

Cell and atoms:
```
data_NdTm6Pu
_symmetry_space_group_name_H-M 'P 1'
_symmetry_Int_Tables_number 1
_cell_length_a 5.6068
_cell_length_b 7.0837
_cell_length_c 7.0837
_cell_angle_alpha 59.94
_cell_angle_beta 90.00
_cell_angle_gamma 90.00
loop_
_symmetry_equiv_pos_as_xyz
'x,y,z'
loop_
_atom_site_label
_atom_site_type_symbol
_atom_site_fract_x
_atom_site_fract_y
_atom_site_fract_z
Nd1 Nd 0.0000 0.0000 0.0000
Tm1 Tm 0.0000 0.5034 0.5034
Tm2 Tm 0.0000 0.5075 0.9994
Tm3 Tm 0.0000 0.9994 0.5075
Tm4 Tm 0.5000 0.3365 0.3365
Tm5 Tm 0.5000 0.3393 0.8376
Tm6 Tm 0.5000 0.8376 0.3393
Pu1 Pu 0.5000 0.8360 0.8360
```

Largest 10 diffraction maxima, in order of rising 2θ, 2θ from 10° to 90°:
2θ 29.1, rel. 23.9
2θ 31.9, rel. 24.8
2θ 33.3, rel. 100.0
2θ 43.8, rel. 16.0
2θ 51.6, rel. 19.5
2θ 57.8, rel. 21.0
2θ 62.0, rel. 22.6
2θ 62.8, rel. 16.3
2θ 85.5, rel. 9.5
2θ 89.1, rel. 8.8